Starting from DFT lattice parameters and positions (PBE), the X-ray diffraction stick pattern of Ba2IrO3 was simulated for Cu Kα (weighted mean of Kα1 and Kα2).
Intensities are scaled so that the largest is 100.

```
data_Ba2IrO3
_chemical_formula_sum 'Ba16 Ir8 O24'
_cell_length_a 5.859
_cell_length_b 12.067
_cell_length_c 12.569
_cell_angle_alpha 90.00
_cell_angle_beta 95.30
_cell_angle_gamma 90.00
_symmetry_space_group_name_H-M 'C 1 2/c 1'
_symmetry_Int_Tables_number 15
loop_
_symmetry_equiv_pos_as_xyz
'x,y,z'
'-x,-y,-z'
'-x,y,-z+1/2'
'x,-y,z+1/2'
'x+1/2,y+1/2,z'
'-x+1/2,-y+1/2,-z'
'-x+1/2,y+1/2,-z+1/2'
'x+1/2,-y+1/2,z+1/2'
loop_
_atom_site_label
_atom_site_type_symbol
_atom_site_fract_x
_atom_site_fract_y
_atom_site_fract_z
_atom_site_occupancy
Ba1 Ba 0.224 0.104 0.425 1
Ba2 Ba 0.227 0.197 0.853 1
Ir1 Ir 0.156 0.493 0.318 1
O1 O 0.000 0.019 0.750 1
O2 O 0.000 0.362 0.750 1
O3 O 0.225 0.330 0.367 1
O4 O 0.238 0.086 0.044 1
```

Peak list (12 most intense, 2θ = 10–90°, in order of falling intensity)
- (1 3 -2), 29.86 deg, I = 100
- (2 0 0), 30.65 deg, I = 61
- (0 2 0), 14.68 deg, I = 46
- (1 1 -4), 32.06 deg, I = 41
- (1 1 4), 34.57 deg, I = 40
- (1 3 2), 31.21 deg, I = 38
- (1 3 -1), 27.50 deg, I = 37
- (0 4 2), 32.96 deg, I = 36
- (2 0 -4), 40.27 deg, I = 29
- (1 1 0), 16.88 deg, I = 27
- (0 2 5), 38.96 deg, I = 26
- (0 0 2), 14.15 deg, I = 25